Record 1
This entry pairs a crystal structure of LaCoO3 with its simulated XRD peak list. Radiation: Cu Kα (weighted mean of Kα1 and Kα2). Structure: a DFT-relaxed cell (PBE+U, the Materials Project).
Intensities are scaled so that the largest is 100.

Largest 8 diffraction maxima, sorted by position, 2θ = 10–90°:
d 2.810, 2θ 31.85, rel. 100
d 2.793, 2θ 32.04, rel. 48
d 2.742, 2θ 32.66, rel. 100
d 2.723, 2θ 32.89, rel. 48
d 1.966, 2θ 46.17, rel. 30
d 1.961, 2θ 46.29, rel. 29
d 1.947, 2θ 46.65, rel. 29
d 1.607, 2θ 57.33, rel. 31

```
LaCoO3
1.0
5.449 0.000 0.000
2.623 4.819 0.000
2.581 1.575 4.579
La Co O
2 2 6
Direct
0.250 0.249 0.250
0.750 0.751 0.750
0.000 0.000 0.000
0.500 0.500 0.500
0.183 0.322 0.753
0.255 0.818 0.678
0.311 0.754 0.179
0.689 0.246 0.821
0.745 0.182 0.322
0.817 0.678 0.247
```


Record 2
This entry pairs a crystal structure of La2Co2O5 with its simulated XRD peak list. Radiation: Cu Kα (weighted mean of Kα1 and Kα2). Structure: a DFT-relaxed cell (PBE+U, the Materials Project).
Intensities are scaled so that the largest is 100.

Largest 8 diffraction maxima, sorted by position, 2θ = 10–90°:
d 3.987, 2θ 22.30, rel. 19
d 2.906, 2θ 30.76, rel. 31
d 2.805, 2θ 31.90, rel. 100
d 2.740, 2θ 32.69, rel. 32
d 2.197, 2θ 41.09, rel. 14
d 1.994, 2θ 45.50, rel. 28
d 1.658, 2θ 55.42, rel. 19
d 1.594, 2θ 57.84, rel. 19

```
La2Co2O5
1.0
-7.896 2.906 2.740
7.896 -2.906 2.740
7.896 2.906 -2.740
La Co O
4 4 10
Direct
0.023 0.110 0.133
0.023 0.390 0.412
0.977 0.610 0.588
0.977 0.890 0.867
0.402 0.714 0.188
0.510 0.010 0.500
0.510 0.510 0.000
0.526 0.214 0.812
0.010 0.272 0.772
0.010 0.737 0.238
0.204 0.842 0.862
0.459 0.183 0.559
0.459 0.400 0.776
0.500 0.237 0.228
0.500 0.772 0.762
0.624 0.683 0.224
0.624 0.900 0.441
0.980 0.342 0.138
```